1.
Ce2Hg13: simulated powder diffraction line list (Cu Kα X-rays), based on DFT lattice parameters and positions (GGA-PBE).
No peak broadening, texture or thermal motion is included.

Cell and atoms:
Lattice parameters (Å, degrees): 8.3480 8.3570 8.4781 119.38 90.10 119.91
Fractional positions:
Ce 0.1487 0.2969 0.4461
Ce 0.8513 0.7031 0.5539
Hg 0.0000 0.0000 0.0000
Hg 0.1435 0.6756 0.8190
Hg 0.1439 0.2880 0.8205
Hg 0.3099 0.9801 0.2904
Hg 0.3109 0.6215 0.2931
Hg 0.3291 0.0191 0.7084
Hg 0.4677 0.3239 0.1803
Hg 0.5323 0.6761 0.8197
Hg 0.6709 0.9809 0.2916
Hg 0.6891 0.3785 0.7069
Hg 0.6901 0.0199 0.7096
Hg 0.8561 0.7120 0.1795
Hg 0.8565 0.3244 0.1810

Most intense lines, 2θ = 10–90°, by angle:
2θ (°), intensity
25.51, 24
32.37, 43
32.70, 47
33.03, 100
33.86, 19
42.62, 22
43.31, 15
45.61, 17
45.77, 33
64.09, 15

---

2.
LiAl4Zn2O8: simulated powder diffraction line list (Cu Kα X-rays), based on DFT lattice parameters and positions (GGA-PBE).
No peak broadening, texture or thermal motion is included.

Cell and atoms:
Lattice parameters (Å, degrees): 6.0482 6.0482 6.0482 123.20 122.18 85.41
Fractional positions:
Li 0.0000 0.0000 0.0000
Al 0.1343 0.3913 0.7430
Al 0.5367 0.0367 0.5000
Al 0.6483 0.3913 0.2570
Al 0.7280 0.7280 0.0000
Zn 0.1865 0.4668 0.2804
Zn 0.1865 0.9061 0.7196
O 0.3584 0.6077 0.7507
O 0.3984 0.1568 0.2416
O 0.4096 0.1760 0.7664
O 0.4096 0.6432 0.2336
O 0.8570 0.6077 0.2493
O 0.8661 0.1255 0.2594
O 0.8661 0.6067 0.7406
O 0.9152 0.1568 0.7584

Most intense lines, 2θ = 10–90°, by angle:
2θ (°), intensity
18.16, 92
19.98, 46
30.57, 33
33.92, 63
35.90, 41
36.24, 100
40.60, 31
44.16, 66
46.67, 37
61.53, 51

---

3.
TaCu6O8: simulated powder diffraction line list (Cu Kα X-rays), based on DFT lattice parameters and positions (GGA-PBE).
No peak broadening, texture or thermal motion is included.

Cell and atoms:
Lattice parameters (Å, degrees): 6.5327 6.5327 6.5327 60.00 60.00 60.00
Fractional positions:
Ta 0.0000 0.0000 0.0000
Cu 0.0000 0.0000 0.5000
Cu 0.0000 0.5000 0.0000
Cu 0.0000 0.5000 0.5000
Cu 0.5000 0.0000 0.0000
Cu 0.5000 0.0000 0.5000
Cu 0.5000 0.5000 0.0000
O 0.1347 0.1347 0.1347
O 0.1347 0.1347 0.5960
O 0.1347 0.5960 0.1347
O 0.4040 0.8653 0.8653
O 0.5960 0.1347 0.1347
O 0.8653 0.4040 0.8653
O 0.8653 0.8653 0.4040
O 0.8653 0.8653 0.8653

Most intense lines, 2θ = 10–90°, by angle:
2θ (°), intensity
16.62, 77
32.13, 16
33.60, 100
39.00, 31
42.66, 24
56.33, 45
59.16, 14
67.22, 37
70.64, 8
73.16, 8

---

- What is the formula in the third record?
  TaCu6O8